Computed X-ray diffraction stick pattern of TbHfAs2 for Cu Kα (λ = 1.5418 Å), from a crystal structure in OQMD, relaxed with GGA-PBE.
Kinematic intensities with the Lorentz-polarization factor, no thermal factor.

Principal peaks in the range 10° ≤ 2θ ≤ 90°, in order of rising 2θ:
- hkl 0 0 4, 26.86 deg, rel. 49
- hkl 1 0 2, 29.33 deg, rel. 22
- hkl 1 0 3, 33.05 deg, rel. 100
- hkl 1 0 4, 37.70 deg, rel. 34
- hkl 1 0 5, 43.05 deg, rel. 41
- hkl 1 1 0, 45.90 deg, rel. 60
- hkl 2 0 3, 57.71 deg, rel. 20
- hkl 1 1 8, 74.57 deg, rel. 25

Structural model:
Unit cell a=3.9543 b=3.9543 c=13.3045 alpha=90.00 beta=90.00 gamma=120.00
Sites, in units of the cell vectors:
1 Tb 0.0000 0.0000 0.1362
2 Tb 0.0000 0.0000 0.8638
3 Hf 0.3333 0.6667 0.3796
4 Hf 0.3333 0.6667 0.6204
5 As 0.0000 0.0000 0.5000
6 As 0.3333 0.6667 0.0000
7 As 0.6667 0.3333 0.2681
8 As 0.6667 0.3333 0.7319

***

Computed X-ray diffraction stick pattern of Hf9AsW4 for Cu Kα (λ = 1.5418 Å), from a crystal structure in OQMD, relaxed with GGA-PBE.
Kinematic intensities with the Lorentz-polarization factor, no thermal factor.

Principal peaks in the range 10° ≤ 2θ ≤ 90°, in order of rising 2θ:
- hkl 1 0 0, 11.76 deg, rel. 22
- hkl 2 0 2, 31.44 deg, rel. 29
- hkl 3 0 1, 37.30 deg, rel. 61
- hkl 2 1 2, 37.79 deg, rel. 100
- hkl 2 0 3, 39.23 deg, rel. 40
- hkl 0 0 4, 41.55 deg, rel. 47
- hkl 3 0 5, 65.29 deg, rel. 26
- hkl 5 0 2, 65.62 deg, rel. 24

Structural model:
Unit cell a=8.6929 b=8.6929 c=8.6937 alpha=90.00 beta=90.00 gamma=120.00
Sites, in units of the cell vectors:
1 Hf 0.0804 0.5402 0.2500
2 Hf 0.1952 0.3903 0.5462
3 Hf 0.1952 0.3903 0.9538
4 Hf 0.1952 0.8048 0.5462
5 Hf 0.1952 0.8048 0.9538
6 Hf 0.3903 0.1952 0.0462
7 Hf 0.3903 0.1952 0.4538
8 Hf 0.4598 0.5402 0.2500
9 Hf 0.4598 0.9196 0.2500
10 Hf 0.5402 0.0804 0.7500
11 Hf 0.5402 0.4598 0.7500
12 Hf 0.6097 0.8048 0.5462
13 Hf 0.6097 0.8048 0.9538
14 Hf 0.8048 0.1952 0.0462
15 Hf 0.8048 0.1952 0.4538
16 Hf 0.8048 0.6097 0.0462
17 Hf 0.8048 0.6097 0.4538
18 Hf 0.9196 0.4598 0.7500
19 As 0.3333 0.6667 0.7500
20 As 0.6667 0.3333 0.2500
21 W 0.0000 0.0000 0.0000
22 W 0.0000 0.0000 0.5000
23 W 0.1101 0.2202 0.2500
24 W 0.1101 0.8899 0.2500
25 W 0.2202 0.1101 0.7500
26 W 0.7798 0.8899 0.2500
27 W 0.8899 0.1101 0.7500
28 W 0.8899 0.7798 0.7500

***

Computed X-ray diffraction stick pattern of HfAs2W for Cu Kα (λ = 1.5418 Å), from a crystal structure in OQMD, relaxed with GGA-PBE.
Kinematic intensities with the Lorentz-polarization factor, no thermal factor.

Principal peaks in the range 10° ≤ 2θ ≤ 90°, in order of rising 2θ:
- hkl 1 0 0, 26.31 deg, rel. 20
- hkl 1 0 1, 27.50 deg, rel. 34
- hkl 1 0 3, 35.69 deg, rel. 100
- hkl 1 0 4, 41.70 deg, rel. 24
- hkl 1 1 0, 46.44 deg, rel. 60
- hkl 1 0 5, 48.51 deg, rel. 21
- hkl 2 0 3, 59.91 deg, rel. 22
- hkl 2 1 3, 79.02 deg, rel. 20

Structural model:
Unit cell a=3.9111 b=3.9111 c=11.2710 alpha=90.00 beta=90.00 gamma=120.00
Sites, in units of the cell vectors:
1 Hf 0.0000 0.0000 0.1481
2 Hf 0.0000 0.0000 0.8519
3 As 0.0000 0.0000 0.5000
4 As 0.3333 0.6667 0.2715
5 As 0.3333 0.6667 0.7285
6 As 0.6667 0.3333 0.0000
7 W 0.6667 0.3333 0.3761
8 W 0.6667 0.3333 0.6239

***

Computed X-ray diffraction stick pattern of Hf5ZnAs3 for Cu Kα (λ = 1.5418 Å), from a crystal structure in OQMD, relaxed with GGA-PBE.
Kinematic intensities with the Lorentz-polarization factor, no thermal factor.

Principal peaks in the range 10° ≤ 2θ ≤ 90°, in order of rising 2θ:
- hkl 1 1 1, 26.97 deg, rel. 23
- hkl 2 1 1, 37.13 deg, rel. 50
- hkl 3 0 0, 37.95 deg, rel. 84
- hkl 1 1 2, 39.07 deg, rel. 100
- hkl 2 2 2, 55.60 deg, rel. 29
- hkl 3 2 1, 58.99 deg, rel. 13
- hkl 4 1 2, 69.30 deg, rel. 17
- hkl 3 0 4, 79.85 deg, rel. 20

Structural model:
Unit cell a=8.2123 b=8.2123 c=5.5732 alpha=90.00 beta=90.00 gamma=120.00
Sites, in units of the cell vectors:
1 Hf 0.0000 0.2778 0.2500
2 Hf 0.0000 0.7222 0.7500
3 Hf 0.2778 0.0000 0.2500
4 Hf 0.2778 0.2778 0.7500
5 Hf 0.3333 0.6667 0.0000
6 Hf 0.3333 0.6667 0.5000
7 Hf 0.6667 0.3333 0.0000
8 Hf 0.6667 0.3333 0.5000
9 Hf 0.7222 0.0000 0.7500
10 Hf 0.7222 0.7222 0.2500
11 Zn 0.0000 0.0000 0.0000
12 Zn 0.0000 0.0000 0.5000
13 As 0.0000 0.3830 0.7500
14 As 0.0000 0.6170 0.2500
15 As 0.3830 0.0000 0.7500
16 As 0.3830 0.3830 0.2500
17 As 0.6170 0.0000 0.2500
18 As 0.6170 0.6170 0.7500

***

Computed X-ray diffraction stick pattern of HfZrAs2 for Cu Kα (λ = 1.5418 Å), from a crystal structure in OQMD, relaxed with GGA-PBE.
Kinematic intensities with the Lorentz-polarization factor, no thermal factor.

Principal peaks in the range 10° ≤ 2θ ≤ 90°, in order of rising 2θ:
- hkl 1 0 0, 26.97 deg, rel. 20
- hkl 1 0 1, 27.86 deg, rel. 23
- hkl 1 0 2, 30.39 deg, rel. 22
- hkl 1 0 3, 34.24 deg, rel. 100
- hkl 1 0 4, 39.06 deg, rel. 36
- hkl 1 0 5, 44.61 deg, rel. 26
- hkl 1 1 0, 47.64 deg, rel. 54
- hkl 1 1 8, 77.62 deg, rel. 26

Structural model:
Unit cell a=3.8180 b=3.8180 c=12.8700 alpha=90.00 beta=90.00 gamma=120.00
Sites, in units of the cell vectors:
1 Hf 0.0000 0.0000 0.1319
2 Hf 0.0000 0.0000 0.8681
3 Zr 0.6667 0.3333 0.3653
4 Zr 0.6667 0.3333 0.6347
5 As 0.0000 0.0000 0.5000
6 As 0.3333 0.6667 0.2464
7 As 0.3333 0.6667 0.7536
8 As 0.6667 0.3333 0.0000

***

Computed X-ray diffraction stick pattern of HfZrAs2 for Cu Kα (λ = 1.5418 Å), from a crystal structure in OQMD, relaxed with GGA-PBE.
Kinematic intensities with the Lorentz-polarization factor, no thermal factor.

Principal peaks in the range 10° ≤ 2θ ≤ 90°, in order of rising 2θ:
- hkl 1 0 1, 27.87 deg, rel. 27
- hkl 1 0 2, 30.40 deg, rel. 25
- hkl 1 0 3, 34.25 deg, rel. 100
- hkl 1 0 4, 39.07 deg, rel. 30
- hkl 1 0 5, 44.62 deg, rel. 27
- hkl 1 1 0, 47.65 deg, rel. 53
- hkl 2 0 3, 59.98 deg, rel. 20
- hkl 1 1 8, 77.64 deg, rel. 25

Structural model:
Unit cell a=3.8171 b=3.8171 c=12.8666 alpha=90.00 beta=90.00 gamma=120.00
Sites, in units of the cell vectors:
1 Hf 0.3333 0.6667 0.0000
2 Hf 0.6667 0.3333 0.5000
3 Zr 0.3333 0.6667 0.7336
4 Zr 0.6667 0.3333 0.2336
5 As 0.0000 0.0000 0.1144
6 As 0.0000 0.0000 0.6144
7 As 0.3333 0.6667 0.3687
8 As 0.6667 0.3333 0.8687

***

Computed X-ray diffraction stick pattern of Hf3ZrAs4 for Cu Kα (λ = 1.5418 Å), from a crystal structure in OQMD, relaxed with GGA-PBE.
Kinematic intensities with the Lorentz-polarization factor, no thermal factor.

Principal peaks in the range 10° ≤ 2θ ≤ 90°, in order of rising 2θ:
- hkl 0 1 1, 27.94 deg, rel. 29
- hkl 1 0 2, 30.49 deg, rel. 20
- hkl 1 0 3, 34.35 deg, rel. 100
- hkl 1 0 4, 39.20 deg, rel. 33
- hkl 0 1 5, 44.78 deg, rel. 25
- hkl 1 1 0, 47.78 deg, rel. 53
- hkl 0 2 3, 60.16 deg, rel. 20
- hkl 1 1 8, 77.94 deg, rel. 26

Structural model:
Unit cell a=3.8072 b=3.8072 c=12.8185 alpha=90.00 beta=90.00 gamma=120.00
Sites, in units of the cell vectors:
1 Hf 0.0000 0.0000 0.0000
2 Hf 0.0000 0.0000 0.2647
3 Hf 0.6667 0.3333 0.7665
4 Zr 0.6667 0.3333 0.4988
5 As 0.0000 0.0000 0.6355
6 As 0.3333 0.6667 0.3796
7 As 0.3333 0.6667 0.8832
8 As 0.6667 0.3333 0.1321

***

Computed X-ray diffraction stick pattern of HgAs4 for Cu Kα (λ = 1.5418 Å), from a crystal structure in OQMD, relaxed with GGA-PBE.
Kinematic intensities with the Lorentz-polarization factor, no thermal factor.

Principal peaks in the range 10° ≤ 2θ ≤ 90°, in order of rising 2θ:
- hkl 1 1 -1, 22.91 deg, rel. 44
- hkl 1 0 -2, 23.03 deg, rel. 34
- hkl 1 1 1, 27.23 deg, rel. 100
- hkl 1 1 -2, 28.11 deg, rel. 43
- hkl 2 1 -1, 34.68 deg, rel. 23
- hkl 0 2 2, 39.33 deg, rel. 33
- hkl 2 1 -3, 42.32 deg, rel. 23
- hkl 2 0 2, 44.75 deg, rel. 35

Structural model:
Unit cell a=5.8476 b=5.5727 c=8.4427 alpha=90.00 beta=107.52 gamma=90.00
Sites, in units of the cell vectors:
1 Hg 0.0000 0.0000 0.0000
2 Hg 0.0000 0.5000 0.5000
3 As 0.2411 0.2023 0.7364
4 As 0.2411 0.2977 0.2364
5 As 0.3893 0.6125 0.0828
6 As 0.3893 0.8875 0.5828
7 As 0.6107 0.1125 0.4172
8 As 0.6107 0.3875 0.9172
9 As 0.7589 0.7023 0.7636
10 As 0.7589 0.7977 0.2636